Computed powder XRD pattern of KTl2CoBr6 for a wavelength of 1.5418 Å, from a cell relaxed with PBE.
Neutral-atom scattering factors, no anomalous dispersion.

Peak list (6 most intense, 2θ = 10–80°, sorted by position)
13.46°, rel. 65, (0 1 1)
22.69°, rel. 75, (1 1 1)
23.51°, rel. 66, (1 1 -3)
27.11°, rel. 80, (0 2 2)
30.14°, rel. 100, (2 0 -4)
35.60°, rel. 93, (1 3 0)

```
data_KTl2CoBr6
_cell_length_a 7.3137
_cell_length_b 8.2851
_cell_length_c 12.7822
_cell_angle_alpha 90.00
_cell_angle_beta 122.19
_cell_angle_gamma 90.00
_space_group_name_H-M_alt 'P 1 21/c 1'
_space_group_IT_number 14
loop_
_space_group_symop_operation_xyz
'x,y,z'
'-x,-y,-z'
'-x,y+1/2,-z+1/2'
'x,-y+1/2,z+1/2'
loop_
_atom_site_label
_atom_site_type_symbol
_atom_site_fract_x
_atom_site_fract_y
_atom_site_fract_z
K1 K 0.0000 0.0000 0.0000
Tl1 Tl 0.2117 0.0644 0.7417
Co1 Co 0.5000 0.0000 0.5000
Br1 Br 0.1956 0.1545 0.4743
Br2 Br 0.2786 0.7456 0.9302
Br3 Br 0.3906 0.0601 0.2882
```